(1)
Simulated powder diffraction line list of Ta5Ga3 for CuKα, from a DFT-relaxed cell (PBE, Alexandria).
Intensities are scaled so that the largest is 100.

Largest 8 diffraction maxima, in order of rising 2θ, 2θ from 10° to 90°:
two_theta, d/Å, I (rel.)
30.54, 2.927, 15.5
35.55, 2.525, 15.1
37.43, 2.403, 100.0
40.41, 2.232, 20.9
42.33, 2.135, 43.1
45.74, 1.984, 14.3
61.23, 1.514, 14.6
64.07, 1.453, 14.4

Crystal structure
a b c (Å): 7.6298 7.6298 7.6298
angles (deg): 127.47 127.47 77.48
Fractional positions:
Ta: 0.0000 0.0000 0.0000
Ta: 0.0057 0.5057 0.8233
Ta: 0.1825 0.0057 0.5000
Ta: 0.3175 0.8175 0.8233
Ta: 0.4943 0.3175 0.5000
Ta: 0.5000 0.5000 0.0000
Ta: 0.5057 0.6825 0.5000
Ta: 0.6825 0.1825 0.1767
Ta: 0.8175 0.9943 0.5000
Ta: 0.9943 0.4943 0.1767
Ga: 0.1344 0.3656 0.5000
Ga: 0.2500 0.2500 0.0000
Ga: 0.3656 0.8656 0.2312
Ga: 0.6344 0.1344 0.7688
Ga: 0.7500 0.7500 0.0000
Ga: 0.8656 0.6344 0.5000

=====

(2)
Simulated powder diffraction line list of TaGa for CuKα, from a DFT-relaxed cell (PBE, Alexandria).
Intensities are scaled so that the largest is 100.

Largest 8 diffraction maxima, in order of rising 2θ, 2θ from 10° to 90°:
two_theta, d/Å, I (rel.)
19.79, 4.486, 25.1
37.79, 2.380, 54.2
37.99, 2.368, 63.6
40.19, 2.244, 84.8
41.52, 2.175, 100.0
46.91, 1.937, 22.8
64.30, 1.449, 23.9
77.06, 1.238, 23.6

Crystal structure
a b c (Å): 5.0863 5.5774 9.5213
angles (deg): 90.00 90.00 90.00
Fractional positions:
Ta: 0.0355 0.1211 0.2320
Ta: 0.1808 0.3774 0.5262
Ta: 0.3192 0.6226 0.0262
Ta: 0.4645 0.8789 0.7320
Ta: 0.5355 0.3789 0.7680
Ta: 0.6808 0.1226 0.4738
Ta: 0.8192 0.8774 0.9738
Ta: 0.9645 0.6211 0.2680
Ga: 0.0262 0.5924 0.7726
Ga: 0.1875 0.8813 0.4805
Ga: 0.3125 0.1187 0.9805
Ga: 0.4738 0.4076 0.2726
Ga: 0.5262 0.9076 0.2274
Ga: 0.6875 0.6187 0.5195
Ga: 0.8125 0.3813 0.0195
Ga: 0.9738 0.0924 0.7274

=====

(3)
Simulated powder diffraction line list of TaTi3Ga6 for CuKα, from a DFT-relaxed cell (PBE, Alexandria).
Intensities are scaled so that the largest is 100.

Largest 8 diffraction maxima, in order of rising 2θ, 2θ from 10° to 90°:
two_theta, d/Å, I (rel.)
11.62, 7.615, 56.5
35.40, 2.535, 39.0
36.71, 2.448, 64.3
39.58, 2.277, 50.8
40.47, 2.229, 41.4
42.21, 2.141, 61.7
42.38, 2.133, 100.0
42.94, 2.106, 43.1

Crystal structure
a b c (Å): 8.5733 8.5733 5.1492
angles (deg): 90.00 90.00 117.35
Fractional positions:
Ta: 0.1563 0.8437 0.7500
Ta: 0.8437 0.1563 0.2500
Ti: 0.1337 0.2937 0.7500
Ti: 0.2937 0.1337 0.2500
Ti: 0.3444 0.6556 0.7500
Ti: 0.6556 0.3444 0.2500
Ti: 0.7063 0.8663 0.7500
Ti: 0.8663 0.7063 0.2500
Ga: 0.0000 0.0000 0.0000
Ga: 0.0000 0.0000 0.5000
Ga: 0.0000 0.5000 0.0000
Ga: 0.0000 0.5000 0.5000
Ga: 0.2213 0.7787 0.2500
Ga: 0.2599 0.4349 0.2500
Ga: 0.4349 0.2599 0.7500
Ga: 0.5000 0.0000 0.0000
Ga: 0.5000 0.0000 0.5000
Ga: 0.5651 0.7401 0.2500
Ga: 0.7401 0.5651 0.7500
Ga: 0.7787 0.2213 0.7500